# Cs4DyAg3Br12
Theoretical PXRD pattern, Cu Kα X-rays. Input: a DFT-relaxed cell (PBE, Alexandria).

Cell and atoms:
Lattice parameters (Å, degrees): 11.1944 11.1944 11.1944 90.00 90.00 90.00
Space group Im-3m (No. 229)
Unique sites:
Cs (0.2500, 0.2500, 0.2500) x8
Dy (0.0000, 0.0000, 0.0000) x2
Ag (0.0000, 0.0000, 0.5000) x6
Br (0.0000, 0.0000, 0.2473) x12
Br (0.0000, 0.2500, 0.5000) x12

Most intense lines, 5 to 70 degrees two-theta, most intense first:
| 2θ/deg | d [Å] | intensity | index |
| --- | --- | --- | --- |
| 31.98 | 2.799 | 100 | 4 0 0 |
| 45.86 | 1.979 | 72 | 4 4 0 |
| 22.46 | 3.958 | 58 | 2 2 0 |
| 27.60 | 3.232 | 50 | 2 2 2 |
| 39.43 | 2.285 | 26 | 4 2 2 |
| 56.99 | 1.616 | 25 | 4 4 4 |